# TlFeBr3
Computed powder X-ray diffraction pattern, Cu Kα, 1.54184 Å. Input: a PBE-relaxed structure.

Structure:
a = 12.8568 Å, b = 12.8568 Å, c = 6.2068 Å
α = 90.00°, β = 90.00°, γ = 120.00°
Space group P6_3cm (No. 185)
Asymmetric unit:
Tl 0.0000 0.3390 0.0000
Fe 0.0000 0.0000 0.3384
Fe 0.3333 0.6667 0.1957
Br 0.0000 0.1639 0.5937
Br 0.1699 0.5015 0.4419

Most intense lines, 2θ from 5° to 70°, in order of rising 2θ:
2θ (°), I_rel, hkl
19.88, 27, 1 1 1
23.98, 23, 3 0 0
27.76, 14, 2 2 0
28.77, 16, 0 0 2
31.34, 100, 2 2 1
40.40, 18, 2 2 2
46.06, 10, 1 1 3
49.09, 30, 6 0 0
57.90, 13, 6 0 2
59.41, 16, 4 4 1

=====

# Al12Co4Cu
Computed powder X-ray diffraction pattern, Cu Kα, 1.54184 Å. Input: a PBE-relaxed structure.

Structure:
a = 15.2476 Å, b = 8.0267 Å, c = 12.3855 Å
α = 90.00°, β = 108.28°, γ = 90.00°
Space group Cm (No. 8)
Asymmetric unit:
Al 0.0000 0.0000 0.0000
Al 0.0028 0.0000 0.4277
Al 0.0257 0.5000 0.5059
Al 0.0285 0.5000 0.9336
Al 0.0640 0.0000 0.2360
Al 0.0788 0.2864 0.3522
Al 0.0851 0.2843 0.1301
Al 0.0974 0.0000 0.7479
Al 0.1337 0.2087 0.9458
Al 0.1354 0.2222 0.5778
Al 0.1887 0.5000 0.8791
Al 0.2075 0.5000 0.2915
Al 0.2438 0.0000 0.2983
Al 0.2555 0.2328 0.7936
Al 0.2643 0.2492 0.4668
Al 0.2730 0.2329 0.1400
Al 0.2848 0.0000 0.6353
Al 0.3209 0.5000 0.6421
Al 0.3398 0.5000 0.0545
Al 0.3931 0.2223 0.3558
Al 0.3948 0.2088 0.9878
Al 0.4310 0.0000 0.1856
Al 0.4434 0.2843 0.8035
Al 0.4497 0.2864 0.5814
Al 0.4646 0.0000 0.6976
Co 0.0823 0.2809 0.7473
Co 0.1609 0.0000 0.0974
Co 0.1634 0.0000 0.4495
Co 0.1719 0.5000 0.4710
Co 0.1776 0.5000 0.0767
Co 0.3509 0.5000 0.8569
Co 0.3566 0.5000 0.4626
Co 0.3651 0.0000 0.4841
Co 0.3676 0.0000 0.8362
Co 0.4463 0.2810 0.1864
Cu 0.1748 0.5000 0.6796
Cu 0.2645 0.0000 0.9672
Cu 0.3536 0.5000 0.2539

Most intense lines, 2θ from 5° to 70°, in order of rising 2θ:
2θ (°), I_rel, hkl
15.65, 19, 1 1 1
22.15, 27, 2 0 -3
24.56, 21, 4 0 0
25.37, 33, 2 2 0
26.87, 20, 0 2 2
43.65, 50, 6 2 -3
43.77, 56, 6 2 0
44.63, 68, 6 0 -5
44.90, 55, 4 2 -5
45.16, 100, 0 4 0

=====

# PaPRuSe
Computed powder X-ray diffraction pattern, Cu Kα, 1.54184 Å. Input: a PBE-relaxed structure.

Structure:
a = 4.1152 Å, b = 4.1152 Å, c = 8.7898 Å
α = 90.00°, β = 90.00°, γ = 90.00°
Space group P4/nmm (No. 129, origin choice 2)
Asymmetric unit:
Pa 0.2500 0.2500 0.2366
P 0.2500 0.2500 0.6468
Ru 0.2500 0.7500 0.5000
Se 0.2500 0.7500 0.0000

Most intense lines, 2θ from 5° to 70°, in order of rising 2θ:
2θ (°), I_rel, hkl
23.88, 70, 1 0 1
37.05, 100, 1 1 2
37.69, 30, 1 0 3
41.08, 15, 0 0 4
44.01, 35, 2 0 0
50.68, 20, 2 1 1
56.96, 10, 1 0 5
59.30, 16, 2 1 3
61.76, 18, 2 0 4
63.99, 11, 2 2 0